(1)
Starting from a cell relaxed with GGA-PBE, the XRD peak list of HoZr was simulated for CuKα.
Peak positions follow from Bragg's law for the DFT cell and can differ from measured ones.

Cell and atoms:
```
HoZr
1.0
6.981 0.000 0.000
0.000 5.785 0.000
0.000 0.000 5.325
Ho Zr
4 4
Direct
0.144 0.067 0.250
0.144 0.433 0.750
0.856 0.567 0.250
0.856 0.933 0.750
0.397 0.595 0.250
0.397 0.905 0.750
0.603 0.095 0.250
0.603 0.405 0.750
```

Peak list (10 most intense, 10° ≤ 2θ ≤ 80°, sorted by position)
- 2θ = 26.1°, 3.417 Å, I = 21
- 2θ = 29.9°, 2.989 Å, I = 20
- 2θ = 30.9°, 2.893 Å, I = 14
- 2θ = 33.7°, 2.662 Å, I = 36
- 2θ = 34.4°, 2.606 Å, I = 100
- 2θ = 35.3°, 2.542 Å, I = 42
- 2θ = 45.6°, 1.988 Å, I = 13
- 2θ = 54.4°, 1.688 Å, I = 16
- 2θ = 60.7°, 1.526 Å, I = 21
- 2θ = 65.5°, 1.426 Å, I = 18

(2)
Starting from a cell relaxed with GGA-PBE, the XRD peak list of HoZr was simulated for CuKα.
Peak positions follow from Bragg's law for the DFT cell and can differ from measured ones.

Cell and atoms:
```
HoZr
1.0
5.347 0.000 0.000
0.000 3.361 0.000
0.000 0.000 5.942
Ho Zr
2 2
Direct
0.250 0.000 0.167
0.750 0.000 0.833
0.250 0.500 0.643
0.750 0.500 0.357
```

Peak list (10 most intense, 10° ≤ 2θ ≤ 80°, sorted by position)
- 2θ = 22.4°, 3.975 Å, I = 15
- 2θ = 30.6°, 2.925 Å, I = 30
- 2θ = 33.5°, 2.674 Å, I = 40
- 2θ = 34.5°, 2.597 Å, I = 61
- 2θ = 35.0°, 2.566 Å, I = 100
- 2θ = 46.0°, 1.974 Å, I = 20
- 2θ = 53.7°, 1.706 Å, I = 21
- 2θ = 60.9°, 1.522 Å, I = 20
- 2θ = 64.8°, 1.438 Å, I = 22
- 2θ = 66.2°, 1.411 Å, I = 18

(3)
Starting from a cell relaxed with GGA-PBE, the XRD peak list of HoZr was simulated for CuKα.
Peak positions follow from Bragg's law for the DFT cell and can differ from measured ones.

Cell and atoms:
```
HoZr
1.0
5.335 0.000 0.000
0.000 10.284 0.000
0.000 0.000 5.848
Ho Zr
6 6
Direct
0.000 0.083 0.000
0.000 0.408 0.022
0.000 0.592 0.522
0.000 0.917 0.500
0.500 0.402 0.664
0.500 0.598 0.164
0.000 0.242 0.501
0.000 0.758 0.001
0.500 0.086 0.665
0.500 0.235 0.192
0.500 0.765 0.692
0.500 0.914 0.165
```

Peak list (10 most intense, 10° ≤ 2θ ≤ 80°, sorted by position)
- 2θ = 30.2°, 2.957 Å, I = 23
- 2θ = 30.6°, 2.924 Å, I = 13
- 2θ = 33.6°, 2.667 Å, I = 37
- 2θ = 34.7°, 2.586 Å, I = 100
- 2θ = 35.0°, 2.564 Å, I = 50
- 2θ = 45.8°, 1.981 Å, I = 15
- 2θ = 54.1°, 1.694 Å, I = 17
- 2θ = 60.8°, 1.524 Å, I = 20
- 2θ = 65.2°, 1.430 Å, I = 20
- 2θ = 65.5°, 1.425 Å, I = 13

(4)
Starting from a cell relaxed with GGA-PBE, the XRD peak list of KSmIn2I6 was simulated for CuKα.
Peak positions follow from Bragg's law for the DFT cell and can differ from measured ones.

Cell and atoms:
```
KSmIn2I6
1.0
0.000 6.370 6.370
6.370 0.000 6.370
6.370 6.370 0.000
K Sm In I
1 1 2 6
Direct
0.000 0.000 0.000
0.500 0.500 0.500
0.250 0.250 0.250
0.750 0.750 0.750
0.260 0.260 0.740
0.260 0.740 0.260
0.260 0.740 0.740
0.740 0.260 0.260
0.740 0.260 0.740
0.740 0.740 0.260
```

Peak list (10 most intense, 10° ≤ 2θ ≤ 80°, sorted by position)
- 2θ = 12.0°, 7.356 Å, I = 16
- 2θ = 13.9°, 6.370 Å, I = 17
- 2θ = 24.2°, 3.678 Å, I = 88
- 2θ = 28.0°, 3.185 Å, I = 100
- 2θ = 40.0°, 2.252 Å, I = 75
- 2θ = 47.3°, 1.921 Å, I = 41
- 2θ = 49.6°, 1.839 Å, I = 26
- 2θ = 63.7°, 1.461 Å, I = 16
- 2θ = 65.5°, 1.424 Å, I = 33
- 2θ = 72.7°, 1.300 Å, I = 24

(5)
Starting from a cell relaxed with GGA-PBE, the XRD peak list of LaPrIn2I2 was simulated for CuKα.
Peak positions follow from Bragg's law for the DFT cell and can differ from measured ones.

Cell and atoms:
```
LaPrIn2I2
1.0
4.665 0.000 0.000
-2.332 4.040 0.000
0.000 0.000 12.113
La Pr In I
1 1 2 2
Direct
0.000 0.000 0.000
0.000 0.000 0.630
0.333 0.667 0.853
0.667 0.333 0.777
0.333 0.667 0.472
0.667 0.333 0.159
```

Peak list (10 most intense, 10° ≤ 2θ ≤ 80°, sorted by position)
- 2θ = 23.2°, 3.832 Å, I = 21
- 2θ = 26.5°, 3.361 Å, I = 97
- 2θ = 31.3°, 2.856 Å, I = 100
- 2θ = 38.6°, 2.332 Å, I = 71
- 2θ = 43.6°, 2.078 Å, I = 36
- 2θ = 47.4°, 1.916 Å, I = 20
- 2θ = 50.5°, 1.806 Å, I = 28
- 2θ = 62.8°, 1.481 Å, I = 17
- 2θ = 65.3°, 1.428 Å, I = 25
- 2θ = 73.3°, 1.292 Å, I = 15

(6)
Starting from a cell relaxed with GGA-PBE, the XRD peak list of NdInI6 was simulated for CuKα.
Peak positions follow from Bragg's law for the DFT cell and can differ from measured ones.

Cell and atoms:
```
NdInI6
1.0
7.713 0.000 0.000
0.000 13.393 0.000
-2.504 0.000 7.305
Nd In I
2 2 12
Direct
0.000 0.000 0.000
0.500 0.500 0.000
0.000 0.332 0.000
0.500 0.832 0.000
0.224 0.174 0.244
0.235 0.337 0.762
0.241 0.485 0.240
0.259 0.985 0.760
0.265 0.837 0.238
0.276 0.674 0.756
0.724 0.674 0.244
0.735 0.837 0.762
0.741 0.985 0.240
0.759 0.485 0.760
0.765 0.337 0.238
0.776 0.174 0.756
```

Peak list (10 most intense, 10° ≤ 2θ ≤ 80°, sorted by position)
- 2θ = 12.1°, 7.305 Å, I = 34
- 2θ = 13.8°, 6.407 Å, I = 18
- 2θ = 24.4°, 3.645 Å, I = 68
- 2θ = 28.2°, 3.164 Å, I = 100
- 2θ = 28.4°, 3.140 Å, I = 49
- 2θ = 40.2°, 2.243 Å, I = 19
- 2θ = 40.5°, 2.230 Å, I = 89
- 2θ = 50.0°, 1.825 Å, I = 19
- 2θ = 50.1°, 1.819 Å, I = 18
- 2θ = 66.1°, 1.413 Å, I = 23